Starting from a DFT-relaxed cell (PBE+U, Alexandria), the X-ray diffraction stick pattern of ScMn3Bi4O12 was simulated for Cu Kα, 1.54184 Å.
Neutral-atom scattering factors, no anomalous dispersion.

Top 8 peaks for 10° ≤ 2θ ≤ 90°, in order of rising 2θ:
hkl 1 1 1, 2θ 21.92, d = 4.055 Å, rel. 753
hkl 0 2 0, 2θ 30.92, d = 2.892 Å, rel. 465
hkl 1 1 -3, 2θ 31.08, d = 2.878 Å, rel. 1000
hkl 2 0 2, 2θ 31.46, d = 2.844 Å, rel. 476
hkl 3 1 -1, 2θ 31.68, d = 2.824 Å, rel. 937
hkl 0 0 4, 2θ 38.36, d = 2.347 Å, rel. 447
hkl 2 2 2, 2θ 44.69, d = 2.028 Å, rel. 459
hkl 1 1 5, 2θ 55.42, d = 1.658 Å, rel. 491

Cell and atoms:
Cell: 9.708 5.784 9.954 Å, 90.00 109.29 90.00°
Space group C2 (No. 5)
One atom of each set of equivalent atoms:
Sc 0.000 0.000 0.000
Mn 0.000 0.423 0.500
Mn 0.244 0.970 0.751
Bi 0.131 0.440 0.867
Bi 0.142 0.002 0.375
O 0.084 0.050 0.829
O 0.105 0.387 0.333
O 0.141 0.641 0.625
O 0.146 0.168 0.585
O 0.159 0.276 0.084
O 0.159 0.791 0.132